Starting from the PBE geometry in OQMD, the XRD peak list of Al25Re4 was simulated for copper Kα.
Lines closer than 0.1° are merged.

Structure:
```
data_Al25Re4
_chemical_formula_sum 'Al25 Re4'
_space_group_name_H-M_alt 'P 1'
_space_group_IT_number 1
_space_group_name_Hall 'P 1'
_cell_length_a 8.3248
_cell_length_b 8.3248
_cell_length_c 8.3248
_cell_angle_alpha 109.47
_cell_angle_beta 109.47
_cell_angle_gamma 109.47
loop_
_atom_site_label
_atom_site_type_symbol
_atom_site_fract_x
_atom_site_fract_y
_atom_site_fract_z
Al1 Al 0.0000 0.0000 0.0000
Al2 Al 0.0000 0.1879 0.3756
Al3 Al 0.0000 0.3756 0.1879
Al4 Al 0.0000 0.4176 0.6836
Al5 Al 0.0000 0.6836 0.4176
Al6 Al 0.1879 0.0000 0.3756
Al7 Al 0.1879 0.3756 0.0000
Al8 Al 0.1877 0.8121 0.8121
Al9 Al 0.2660 0.5824 0.5824
Al10 Al 0.3164 0.3164 0.7340
Al11 Al 0.3164 0.7340 0.3164
Al12 Al 0.3756 0.0000 0.1879
Al13 Al 0.3756 0.1879 0.0000
Al14 Al 0.4176 0.0000 0.6836
Al15 Al 0.4176 0.6836 0.0000
Al16 Al 0.5824 0.2660 0.5824
Al17 Al 0.5824 0.5824 0.2660
Al18 Al 0.6244 0.6244 0.8123
Al19 Al 0.6244 0.8123 0.6244
Al20 Al 0.6836 0.0000 0.4176
Al21 Al 0.6836 0.4176 0.0000
Al22 Al 0.7340 0.3164 0.3164
Al23 Al 0.8121 0.1877 0.8121
Al24 Al 0.8123 0.6244 0.6244
Al25 Al 0.8121 0.8121 0.1877
Re1 Re 0.0000 0.0000 0.6368
Re2 Re 0.0000 0.6368 0.0000
Re3 Re 0.3632 0.3632 0.3632
Re4 Re 0.6368 0.0000 0.0000
```

Top 10 peaks for 5° ≤ 2θ ≤ 70°, low angle first:
| 2theta | I_rel |
| --- | --- |
| 18.46 | 27 |
| 22.66 | 62 |
| 29.38 | 13 |
| 34.92 | 15 |
| 39.78 | 100 |
| 44.19 | 18 |
| 46.27 | 17 |
| 55.76 | 11 |
| 57.53 | 10 |
| 59.26 | 14 |



Starting from the PBE geometry in OQMD, the XRD peak list of Al7Re8 was simulated for copper Kα.
Lines closer than 0.1° are merged.

Structure:
```
data_Al7Re8
_chemical_formula_sum 'Al14 Re16'
_space_group_name_H-M_alt 'P 1'
_space_group_IT_number 1
_space_group_name_Hall 'P 1'
_cell_length_a 9.5286
_cell_length_b 9.5286
_cell_length_c 4.9981
_cell_angle_alpha 90.00
_cell_angle_beta 90.00
_cell_angle_gamma 90.00
loop_
_atom_site_label
_atom_site_type_symbol
_atom_site_fract_x
_atom_site_fract_y
_atom_site_fract_z
Al1 Al 0.0000 0.0000 0.0000
Al2 Al 0.0352 0.3669 0.5000
Al3 Al 0.0994 0.0994 0.5000
Al4 Al 0.1331 0.5352 0.0000
Al5 Al 0.3669 0.0352 0.5000
Al6 Al 0.4006 0.5994 0.0000
Al7 Al 0.4648 0.8669 0.0000
Al8 Al 0.5000 0.5000 0.5000
Al9 Al 0.5352 0.1331 0.0000
Al10 Al 0.5994 0.4006 0.0000
Al11 Al 0.6331 0.9648 0.5000
Al12 Al 0.8669 0.4648 0.0000
Al13 Al 0.9006 0.9006 0.5000
Al14 Al 0.9648 0.6331 0.5000
Re1 Re 0.0713 0.2551 0.0000
Re2 Re 0.1715 0.8285 0.2506
Re3 Re 0.1715 0.8285 0.7494
Re4 Re 0.2449 0.5713 0.5000
Re5 Re 0.2551 0.0713 0.0000
Re6 Re 0.3285 0.3285 0.2494
Re7 Re 0.3285 0.3285 0.7506
Re8 Re 0.4287 0.7551 0.5000
Re9 Re 0.5713 0.2449 0.5000
Re10 Re 0.6715 0.6715 0.2494
Re11 Re 0.6715 0.6715 0.7506
Re12 Re 0.7449 0.9287 0.0000
Re13 Re 0.7551 0.4287 0.5000
Re14 Re 0.8285 0.1715 0.2506
Re15 Re 0.8285 0.1715 0.7494
Re16 Re 0.9287 0.7449 0.0000
```

Top 10 peaks for 5° ≤ 2θ ≤ 70°, low angle first:
| 2theta | I_rel |
| --- | --- |
| 18.62 | 54 |
| 20.06 | 36 |
| 22.14 | 28 |
| 27.51 | 34 |
| 38.97 | 89 |
| 40.15 | 28 |
| 41.91 | 100 |
| 43.12 | 28 |
| 44.21 | 38 |
| 45.18 | 24 |



Starting from the PBE geometry in OQMD, the XRD peak list of Al14Re was simulated for copper Kα.
Lines closer than 0.1° are merged.

Structure:
```
data_Al14Re
_chemical_formula_sum 'Al28 Re2'
_space_group_name_H-M_alt 'P 1'
_space_group_IT_number 1
_space_group_name_Hall 'P 1'
_cell_length_a 9.7041
_cell_length_b 9.7041
_cell_length_c 5.1872
_cell_angle_alpha 90.00
_cell_angle_beta 90.00
_cell_angle_gamma 90.00
loop_
_atom_site_label
_atom_site_type_symbol
_atom_site_fract_x
_atom_site_fract_y
_atom_site_fract_z
Al1 Al 0.0487 0.3690 0.0000
Al2 Al 0.0721 0.2645 0.5000
Al3 Al 0.0956 0.0956 0.0000
Al4 Al 0.1310 0.5487 0.5000
Al5 Al 0.1722 0.8278 0.2485
Al6 Al 0.1722 0.8278 0.7515
Al7 Al 0.2355 0.5721 0.0000
Al8 Al 0.2645 0.0721 0.5000
Al9 Al 0.3278 0.3278 0.2515
Al10 Al 0.3278 0.3278 0.7485
Al11 Al 0.3690 0.0487 0.0000
Al12 Al 0.4044 0.5956 0.5000
Al13 Al 0.4279 0.7645 0.0000
Al14 Al 0.4513 0.8690 0.5000
Al15 Al 0.5487 0.1310 0.5000
Al16 Al 0.5721 0.2355 0.0000
Al17 Al 0.5956 0.4044 0.5000
Al18 Al 0.6310 0.9513 0.0000
Al19 Al 0.6722 0.6722 0.2515
Al20 Al 0.6722 0.6722 0.7485
Al21 Al 0.7355 0.9279 0.5000
Al22 Al 0.7645 0.4279 0.0000
Al23 Al 0.8278 0.1722 0.2485
Al24 Al 0.8278 0.1722 0.7515
Al25 Al 0.8690 0.4513 0.5000
Al26 Al 0.9044 0.9044 0.0000
Al27 Al 0.9279 0.7355 0.5000
Al28 Al 0.9513 0.6310 0.0000
Re1 Re 0.0000 0.0000 0.5000
Re2 Re 0.5000 0.5000 0.0000
```

Top 10 peaks for 5° ≤ 2θ ≤ 70°, low angle first:
| 2theta | I_rel |
| --- | --- |
| 12.90 | 100 |
| 18.28 | 45 |
| 19.40 | 84 |
| 26.78 | 63 |
| 29.10 | 26 |
| 37.65 | 27 |
| 39.39 | 72 |
| 42.16 | 89 |
| 45.81 | 42 |
| 67.18 | 27 |



Starting from the PBE geometry in OQMD, the XRD peak list of Al5Re7 was simulated for copper Kα.
Lines closer than 0.1° are merged.

Structure:
```
data_Al5Re7
_chemical_formula_sum 'Al10 Re14'
_space_group_name_H-M_alt 'P 1'
_space_group_IT_number 1
_space_group_name_Hall 'P 1'
_cell_length_a 5.0658
_cell_length_b 5.0658
_cell_length_c 16.7125
_cell_angle_alpha 90.00
_cell_angle_beta 90.00
_cell_angle_gamma 120.00
loop_
_atom_site_label
_atom_site_type_symbol
_atom_site_fract_x
_atom_site_fract_y
_atom_site_fract_z
Al1 Al 0.0000 0.5000 0.0000
Al2 Al 0.0000 0.5000 0.5000
Al3 Al 0.3333 0.6667 0.1595
Al4 Al 0.3333 0.6667 0.3405
Al5 Al 0.5000 0.0000 0.0000
Al6 Al 0.5000 0.0000 0.5000
Al7 Al 0.5000 0.5000 0.0000
Al8 Al 0.5000 0.5000 0.5000
Al9 Al 0.6667 0.3333 0.6595
Al10 Al 0.6667 0.3333 0.8405
Re1 Re 0.0000 0.0000 0.1030
Re2 Re 0.0000 0.0000 0.3970
Re3 Re 0.0000 0.0000 0.6030
Re4 Re 0.0000 0.0000 0.8970
Re5 Re 0.1630 0.3260 0.7500
Re6 Re 0.1630 0.8370 0.7500
Re7 Re 0.3260 0.1630 0.2500
Re8 Re 0.3333 0.6667 0.6200
Re9 Re 0.3333 0.6667 0.8800
Re10 Re 0.6667 0.3333 0.1200
Re11 Re 0.6667 0.3333 0.3800
Re12 Re 0.6740 0.8370 0.7500
Re13 Re 0.8370 0.1630 0.2500
Re14 Re 0.8370 0.6740 0.2500
```

Top 10 peaks for 5° ≤ 2θ ≤ 70°, low angle first:
| 2theta | I_rel |
| --- | --- |
| 10.59 | 68 |
| 20.93 | 73 |
| 35.44 | 31 |
| 38.28 | 23 |
| 41.70 | 100 |
| 42.61 | 23 |
| 43.31 | 23 |
| 44.38 | 51 |
| 49.72 | 27 |
| 67.91 | 24 |



Starting from the PBE geometry in OQMD, the XRD peak list of Al13Re2 was simulated for copper Kα.
Lines closer than 0.1° are merged.

Structure:
```
data_Al13Re2
_chemical_formula_sum 'Al26 Re4'
_space_group_name_H-M_alt 'P 1'
_space_group_IT_number 1
_space_group_name_Hall 'P 1'
_cell_length_a 9.7086
_cell_length_b 9.7086
_cell_length_c 4.9101
_cell_angle_alpha 90.00
_cell_angle_beta 90.00
_cell_angle_gamma 90.00
loop_
_atom_site_label
_atom_site_type_symbol
_atom_site_fract_x
_atom_site_fract_y
_atom_site_fract_z
Al1 Al 0.0000 0.0000 0.0000
Al2 Al 0.0376 0.3669 0.5000
Al3 Al 0.0694 0.2605 0.0000
Al4 Al 0.1331 0.5376 0.0000
Al5 Al 0.1766 0.8234 0.2521
Al6 Al 0.1766 0.8234 0.7479
Al7 Al 0.2395 0.5694 0.5000
Al8 Al 0.2605 0.0694 0.0000
Al9 Al 0.3234 0.3234 0.2479
Al10 Al 0.3234 0.3234 0.7521
Al11 Al 0.3669 0.0376 0.5000
Al12 Al 0.4306 0.7605 0.5000
Al13 Al 0.4624 0.8669 0.0000
Al14 Al 0.5000 0.5000 0.5000
Al15 Al 0.5376 0.1331 0.0000
Al16 Al 0.5694 0.2395 0.5000
Al17 Al 0.6331 0.9624 0.5000
Al18 Al 0.6766 0.6766 0.2479
Al19 Al 0.6766 0.6766 0.7521
Al20 Al 0.7395 0.9306 0.0000
Al21 Al 0.7605 0.4306 0.5000
Al22 Al 0.8234 0.1766 0.2521
Al23 Al 0.8234 0.1766 0.7479
Al24 Al 0.8669 0.4624 0.0000
Al25 Al 0.9306 0.7395 0.0000
Al26 Al 0.9624 0.6331 0.5000
Re1 Re 0.1079 0.1079 0.5000
Re2 Re 0.3921 0.6079 0.0000
Re3 Re 0.6079 0.3921 0.0000
Re4 Re 0.8921 0.8921 0.5000
```

Top 10 peaks for 5° ≤ 2θ ≤ 70°, low angle first:
| 2theta | I_rel |
| --- | --- |
| 12.90 | 98 |
| 20.27 | 100 |
| 20.46 | 68 |
| 31.81 | 62 |
| 33.27 | 41 |
| 34.45 | 46 |
| 38.22 | 31 |
| 42.29 | 70 |
| 42.58 | 96 |
| 43.64 | 52 |



Starting from the PBE geometry in OQMD, the XRD peak list of Al3Re2 was simulated for copper Kα.
Lines closer than 0.1° are merged.

Structure:
```
data_Al3Re2
_chemical_formula_sum 'Al18 Re12'
_space_group_name_H-M_alt 'P 1'
_space_group_IT_number 1
_space_group_name_Hall 'P 1'
_cell_length_a 9.3303
_cell_length_b 9.3303
_cell_length_c 5.0767
_cell_angle_alpha 90.00
_cell_angle_beta 90.00
_cell_angle_gamma 90.00
loop_
_atom_site_label
_atom_site_type_symbol
_atom_site_fract_x
_atom_site_fract_y
_atom_site_fract_z
Al1 Al 0.0000 0.0000 0.0000
Al2 Al 0.0377 0.3618 0.5000
Al3 Al 0.0673 0.2638 0.0000
Al4 Al 0.1382 0.5377 0.0000
Al5 Al 0.2362 0.5673 0.5000
Al6 Al 0.2638 0.0673 0.0000
Al7 Al 0.3618 0.0377 0.5000
Al8 Al 0.4327 0.7638 0.5000
Al9 Al 0.4623 0.8618 0.0000
Al10 Al 0.5000 0.5000 0.5000
Al11 Al 0.5377 0.1382 0.0000
Al12 Al 0.5673 0.2362 0.5000
Al13 Al 0.6382 0.9623 0.5000
Al14 Al 0.7362 0.9327 0.0000
Al15 Al 0.7638 0.4327 0.5000
Al16 Al 0.8618 0.4623 0.0000
Al17 Al 0.9327 0.7362 0.0000
Al18 Al 0.9623 0.6382 0.5000
Re1 Re 0.0979 0.0979 0.5000
Re2 Re 0.1814 0.8186 0.2451
Re3 Re 0.1814 0.8186 0.7549
Re4 Re 0.3186 0.3186 0.2549
Re5 Re 0.3186 0.3186 0.7451
Re6 Re 0.4021 0.5979 0.0000
Re7 Re 0.5979 0.4021 0.0000
Re8 Re 0.6814 0.6814 0.2549
Re9 Re 0.6814 0.6814 0.7451
Re10 Re 0.8186 0.1814 0.2451
Re11 Re 0.8186 0.1814 0.7549
Re12 Re 0.9021 0.9021 0.5000
```

Top 10 peaks for 5° ≤ 2θ ≤ 70°, low angle first:
| 2theta | I_rel |
| --- | --- |
| 13.42 | 72 |
| 19.02 | 30 |
| 19.91 | 32 |
| 21.29 | 34 |
| 34.66 | 26 |
| 39.84 | 80 |
| 40.46 | 41 |
| 41.04 | 31 |
| 41.65 | 100 |
| 69.41 | 27 |



Starting from the PBE geometry in OQMD, the XRD peak list of Al2Re13 was simulated for copper Kα.
Lines closer than 0.1° are merged.

Structure:
```
data_Al2Re13
_chemical_formula_sum 'Al4 Re26'
_space_group_name_H-M_alt 'P 1'
_space_group_IT_number 1
_space_group_name_Hall 'P 1'
_cell_length_a 9.6153
_cell_length_b 9.6153
_cell_length_c 4.8995
_cell_angle_alpha 90.00
_cell_angle_beta 90.00
_cell_angle_gamma 90.00
loop_
_atom_site_label
_atom_site_type_symbol
_atom_site_fract_x
_atom_site_fract_y
_atom_site_fract_z
Al1 Al 0.0997 0.0997 0.0000
Al2 Al 0.4003 0.5997 0.5000
Al3 Al 0.5997 0.4003 0.5000
Al4 Al 0.9003 0.9003 0.0000
Re1 Re 0.0000 0.0000 0.5000
Re2 Re 0.0345 0.3689 0.0000
Re3 Re 0.0647 0.2599 0.5000
Re4 Re 0.1311 0.5345 0.5000
Re5 Re 0.1825 0.8175 0.2456
Re6 Re 0.1825 0.8175 0.7544
Re7 Re 0.2401 0.5647 0.0000
Re8 Re 0.2599 0.0647 0.5000
Re9 Re 0.3175 0.3175 0.2544
Re10 Re 0.3175 0.3175 0.7456
Re11 Re 0.3689 0.0345 0.0000
Re12 Re 0.4353 0.7599 0.0000
Re13 Re 0.4655 0.8689 0.5000
Re14 Re 0.5000 0.5000 0.0000
Re15 Re 0.5345 0.1311 0.5000
Re16 Re 0.5647 0.2401 0.0000
Re17 Re 0.6311 0.9655 0.0000
Re18 Re 0.6825 0.6825 0.2544
Re19 Re 0.6825 0.6825 0.7456
Re20 Re 0.7401 0.9353 0.5000
Re21 Re 0.7599 0.4353 0.0000
Re22 Re 0.8175 0.1825 0.2456
Re23 Re 0.8175 0.1825 0.7544
Re24 Re 0.8689 0.4655 0.5000
Re25 Re 0.9353 0.7401 0.5000
Re26 Re 0.9655 0.6311 0.0000
```

Top 10 peaks for 5° ≤ 2θ ≤ 70°, low angle first:
| 2theta | I_rel |
| --- | --- |
| 20.34 | 33 |
| 38.61 | 100 |
| 39.77 | 51 |
| 41.37 | 38 |
| 42.47 | 60 |
| 42.95 | 99 |
| 44.02 | 41 |
| 45.65 | 17 |
| 47.67 | 23 |
| 68.60 | 23 |



Starting from the PBE geometry in OQMD, the XRD peak list of AlRe was simulated for copper Kα.
Lines closer than 0.1° are merged.

Structure:
```
data_AlRe
_chemical_formula_sum 'Al2 Re2'
_space_group_name_H-M_alt 'P 1'
_space_group_IT_number 1
_space_group_name_Hall 'P 1'
_cell_length_a 3.1001
_cell_length_b 3.1001
_cell_length_c 5.9771
_cell_angle_alpha 90.00
_cell_angle_beta 90.00
_cell_angle_gamma 90.00
loop_
_atom_site_label
_atom_site_type_symbol
_atom_site_fract_x
_atom_site_fract_y
_atom_site_fract_z
Al1 Al 0.2500 0.2500 0.1280
Al2 Al 0.7500 0.7500 0.8720
Re1 Re 0.2500 0.2500 0.6340
Re2 Re 0.7500 0.7500 0.3660
```

Top 10 peaks for 5° ≤ 2θ ≤ 70°, low angle first:
| 2theta | I_rel |
| --- | --- |
| 14.82 | 77 |
| 32.54 | 63 |
| 41.18 | 53 |
| 41.99 | 100 |
| 44.00 | 22 |
| 54.77 | 8 |
| 59.65 | 18 |
| 61.84 | 8 |
| 63.05 | 12 |
| 69.62 | 15 |



Starting from the PBE geometry in OQMD, the XRD peak list of Al11Re2 was simulated for copper Kα.
Lines closer than 0.1° are merged.

Structure:
```
data_Al11Re2
_chemical_formula_sum 'Al11 Re2'
_space_group_name_H-M_alt 'P 1'
_space_group_IT_number 1
_space_group_name_Hall 'P 1'
_cell_length_a 9.7022
_cell_length_b 9.7022
_cell_length_c 9.7022
_cell_angle_alpha 30.13
_cell_angle_beta 30.13
_cell_angle_gamma 30.13
loop_
_atom_site_label
_atom_site_type_symbol
_atom_site_fract_x
_atom_site_fract_y
_atom_site_fract_z
Al1 Al 0.0000 0.0000 0.0000
Al2 Al 0.0884 0.0884 0.5839
Al3 Al 0.0884 0.5839 0.0884
Al4 Al 0.1658 0.1658 0.1658
Al5 Al 0.3492 0.3492 0.3492
Al6 Al 0.4161 0.9116 0.9116
Al7 Al 0.5839 0.0884 0.0884
Al8 Al 0.6508 0.6508 0.6508
Al9 Al 0.8342 0.8342 0.8342
Al10 Al 0.9116 0.4161 0.9116
Al11 Al 0.9116 0.9116 0.4161
Re1 Re 0.4530 0.4530 0.4530
Re2 Re 0.5470 0.5470 0.5470
```

Top 10 peaks for 5° ≤ 2θ ≤ 70°, low angle first:
| 2theta | I_rel |
| --- | --- |
| 9.56 | 85 |
| 20.59 | 100 |
| 21.33 | 79 |
| 35.61 | 65 |
| 36.95 | 26 |
| 38.42 | 55 |
| 41.31 | 53 |
| 41.48 | 46 |
| 41.88 | 27 |
| 46.52 | 36 |



Starting from the PBE geometry in OQMD, the XRD peak list of SrAl3Re was simulated for copper Kα.
Lines closer than 0.1° are merged.

Structure:
```
data_SrAl3Re
_chemical_formula_sum 'Sr2 Al6 Re2'
_space_group_name_H-M_alt 'P 1'
_space_group_IT_number 1
_space_group_name_Hall 'P 1'
_cell_length_a 6.7810
_cell_length_b 6.7810
_cell_length_c 4.9466
_cell_angle_alpha 90.00
_cell_angle_beta 90.00
_cell_angle_gamma 90.00
loop_
_atom_site_label
_atom_site_type_symbol
_atom_site_fract_x
_atom_site_fract_y
_atom_site_fract_z
Sr1 Sr 0.2500 0.7500 0.0000
Sr2 Sr 0.7500 0.2500 0.0000
Al1 Al 0.0000 0.0000 0.5000
Al2 Al 0.0000 0.5000 0.5000
Al3 Al 0.2500 0.2500 0.1054
Al4 Al 0.5000 0.0000 0.5000
Al5 Al 0.5000 0.5000 0.5000
Al6 Al 0.7500 0.7500 0.8946
Re1 Re 0.2500 0.2500 0.6095
Re2 Re 0.7500 0.7500 0.3905
```

Top 10 peaks for 5° ≤ 2θ ≤ 70°, low angle first:
| 2theta | I_rel |
| --- | --- |
| 18.50 | 39 |
| 22.25 | 33 |
| 25.88 | 100 |
| 26.29 | 66 |
| 34.70 | 22 |
| 37.51 | 54 |
| 38.75 | 34 |
| 46.14 | 43 |
| 47.43 | 38 |
| 54.10 | 19 |